The following is a simulated powder XRD pattern of UBe2F8. It was derived from a crystal structure in Alexandria, relaxed with PBE, using Cu Ka.

Cell and atoms:
Cell: 11.7086 6.5520 10.2712 Å, 90.00 124.09 90.00°
Space group C2/c (No. 15)
Inequivalent atoms, fractional coordinates:
U  0.0000  0.0594  0.2500 [4 per cell]
Be  0.1418  0.2262  0.5828 [8 per cell]
F  0.0341  0.3250  0.4168 [8 per cell]
F  0.0877  0.2059  0.6916 [8 per cell]
F  0.1462  0.0058  0.5219 [8 per cell]
F  0.2170  0.1662  0.3295 [8 per cell]

Principal peaks in the range 10° ≤ 2θ ≤ 90°, most intense first:
| h k l | 2θ (°) | I/Imax |
| --- | --- | --- |
| 1 1 0 | 16.34 | 100 |
| 1 1 -2 | 22.14 | 30 |
| 2 0 0 | 18.30 | 30 |
| 4 0 -2 | 30.52 | 24 |
| 3 1 -2 | 27.17 | 23 |
| 2 0 -2 | 18.50 | 20 |
| 0 0 2 | 20.89 | 19 |
| 0 0 4 | 42.46 | 12 |
| 1 1 -4 | 40.41 | 12 |
| 1 3 1 | 45.14 | 11 |
| 2 2 -2 | 33.11 | 10 |
| 4 2 -2 | 41.36 | 9 |